For PaGa3I8, a crystal structure in Alexandria, relaxed with GGA-PBE gives the simulated PXRD pattern in this record (Cu Kα).
Peak positions follow from Bragg's law for the DFT cell and can differ from measured ones.

Largest 10 diffraction maxima, low angle first, 5 to 70 degrees two-theta:
2θ 11.84, I = 64
2θ 15.14, I = 27
2θ 23.00, I = 23
2θ 23.82, I = 20
2θ 26.24, I = 52
2θ 27.52, I = 100
2θ 38.27, I = 18
2θ 38.39, I = 71
2θ 40.33, I = 18
2θ 46.98, I = 22

a b c (Å): 8.1336 8.1336 9.4068
angles (deg): 90.00 90.00 113.27
Atoms (fractional coordinates):
Pa: 0.0000 0.0000 0.0000
Ga: 0.0000 0.0000 0.5000
Ga: 0.0000 0.5000 0.2867
Ga: 0.5000 0.0000 0.7133
I: 0.2158 0.7842 0.0000
I: 0.2261 0.2380 0.2265
I: 0.2380 0.2261 0.7735
I: 0.2389 0.7611 0.5000
I: 0.7611 0.2389 0.5000
I: 0.7620 0.7739 0.7735
I: 0.7739 0.7620 0.2265
I: 0.7842 0.2158 0.0000

***

For Ce2Pm2Se7, a crystal structure in Alexandria, relaxed with GGA-PBE gives the simulated PXRD pattern in this record (Cu Kα).
Peak positions follow from Bragg's law for the DFT cell and can differ from measured ones.

Largest 10 diffraction maxima, low angle first, 5 to 70 degrees two-theta:
2θ 12.74, I = 17
2θ 21.47, I = 45
2θ 22.69, I = 84
2θ 34.99, I = 37
2θ 36.40, I = 100
2θ 38.09, I = 29
2θ 42.11, I = 30
2θ 52.68, I = 21
2θ 63.68, I = 17
2θ 67.73, I = 14

a b c (Å): 6.9736 6.9736 7.0113
angles (deg): 90.00 90.00 94.69
Atoms (fractional coordinates):
Ce: 0.2315 0.7685 0.0000
Ce: 0.7685 0.2315 0.0000
Pm: 0.2279 0.2279 0.5000
Pm: 0.7721 0.7721 0.5000
Se: 0.0000 0.0000 0.2418
Se: 0.0000 0.0000 0.7582
Se: 0.0000 0.5000 0.2589
Se: 0.0000 0.5000 0.7411
Se: 0.5000 0.0000 0.2589
Se: 0.5000 0.0000 0.7411
Se: 0.5000 0.5000 0.0000

***

For La15Mg2Tl2, a crystal structure in Alexandria, relaxed with GGA-PBE gives the simulated PXRD pattern in this record (Cu Kα).
Peak positions follow from Bragg's law for the DFT cell and can differ from measured ones.

Largest 10 diffraction maxima, low angle first, 5 to 70 degrees two-theta:
2θ 10.49, I = 28
2θ 13.26, I = 27
2θ 25.44, I = 23
2θ 26.72, I = 60
2θ 30.29, I = 100
2θ 31.82, I = 86
2θ 32.87, I = 90
2θ 35.95, I = 73
2θ 53.17, I = 22
2θ 59.87, I = 30

a b c (Å): 8.9022 8.9022 8.9022
angles (deg): 75.36 75.36 75.36
Atoms (fractional coordinates):
La: 0.0000 0.0000 0.5000
La: 0.0000 0.2925 0.7075
La: 0.0000 0.5000 0.0000
La: 0.0000 0.7075 0.2925
La: 0.1822 0.5985 0.5985
La: 0.2925 0.0000 0.7075
La: 0.2925 0.7075 0.0000
La: 0.4015 0.4015 0.8178
La: 0.4015 0.8178 0.4015
La: 0.5000 0.0000 0.0000
La: 0.5985 0.1822 0.5985
La: 0.5985 0.5985 0.1822
La: 0.7075 0.0000 0.2925
La: 0.7075 0.2925 0.0000
La: 0.8178 0.4015 0.4015
Mg: 0.3072 0.3072 0.3072
Mg: 0.6928 0.6928 0.6928
Tl: 0.0930 0.0930 0.0930
Tl: 0.9070 0.9070 0.9070

***

For Re2Ir3Os3, a crystal structure in Alexandria, relaxed with GGA-PBE gives the simulated PXRD pattern in this record (Cu Kα).
Peak positions follow from Bragg's law for the DFT cell and can differ from measured ones.

Largest 10 diffraction maxima, low angle first, 5 to 70 degrees two-theta:
2θ 26.81, I = 7
2θ 36.52, I = 37
2θ 39.36, I = 28
2θ 42.62, I = 100
2θ 42.82, I = 96
2θ 44.38, I = 29
2θ 48.80, I = 12
2θ 62.01, I = 20
2θ 65.30, I = 10
2θ 68.94, I = 18

a b c (Å): 4.9616 4.9616 4.9616
angles (deg): 94.98 94.98 94.98
Atoms (fractional coordinates):
Re: 0.2477 0.2477 0.2477
Re: 0.7523 0.7523 0.7523
Ir: 0.0000 0.2877 0.7123
Ir: 0.2877 0.7123 0.0000
Ir: 0.7123 0.0000 0.2877
Os: 0.2036 0.7964 0.5000
Os: 0.5000 0.2036 0.7964
Os: 0.7964 0.5000 0.2036